This entry pairs a crystal structure of Pd10Pb with its simulated PXRD pattern. Radiation: a wavelength of 1.5418 Å. Structure: a cell relaxed with GGA-PBE.

Structure:
```
Pd10Pb
1.0
4.3601 -1.9572 0.0000
4.3601 1.9572 0.0000
-0.2172 0.0000 29.8240
Pd Pb
20 2
Direct
0.0482 0.0482 0.3954
0.0489 0.0489 0.6943
0.1427 0.1427 0.7858
0.1500 0.1500 0.4850
0.2516 0.2516 0.5747
0.2550 0.2550 0.2753
0.3490 0.3490 0.3661
0.3499 0.3499 0.6646
0.4446 0.4446 0.7555
0.4496 0.4496 0.4554
0.5504 0.5504 0.5446
0.5554 0.5554 0.2445
0.6501 0.6501 0.3354
0.6510 0.6510 0.6339
0.7450 0.7450 0.7247
0.7484 0.7484 0.4253
0.8500 0.8500 0.5150
0.8573 0.8573 0.2142
0.9511 0.9511 0.3057
0.9518 0.9518 0.6046
0.1568 0.1568 0.1807
0.8432 0.8432 0.8193
```

Most intense lines, 10° ≤ 2θ ≤ 80°, in order of rising 2θ:
37.07 deg, rel. 17
39.42 deg, rel. 100
39.62 deg, rel. 88
40.43 deg, rel. 36
44.49 deg, rel. 34
45.56 deg, rel. 14
46.39 deg, rel. 32
46.96 deg, rel. 27
66.23 deg, rel. 19
68.14 deg, rel. 18



This entry pairs a crystal structure of CsNbGeS5 with its simulated PXRD pattern. Radiation: a wavelength of 1.5418 Å. Structure: a cell relaxed with GGA-PBE.

Structure:
```
CsNbGeS5
1.0
7.1246 0.0000 0.0000
2.0571 7.2386 0.0000
2.1176 3.2959 8.6933
Cs Nb Ge S
2 2 2 10
Direct
0.1058 0.3513 0.3113
0.8942 0.6487 0.6887
0.2640 0.9595 0.9953
0.7360 0.0405 0.0047
0.4775 0.7023 0.3719
0.5225 0.2977 0.6281
0.0642 0.7825 0.9685
0.1920 0.8662 0.2863
0.2853 0.1287 0.7092
0.4246 0.6086 0.6346
0.4265 0.2408 0.9870
0.5735 0.7592 0.0130
0.5754 0.3914 0.3654
0.7147 0.8713 0.2908
0.8080 0.1338 0.7137
0.9358 0.2175 0.0315
```

Most intense lines, 10° ≤ 2θ ≤ 80°, in order of rising 2θ:
13.43 deg, rel. 89
19.26 deg, rel. 57
20.74 deg, rel. 48
21.41 deg, rel. 65
24.61 deg, rel. 66
26.80 deg, rel. 58
26.90 deg, rel. 77
30.86 deg, rel. 100
40.03 deg, rel. 48
41.38 deg, rel. 39



This entry pairs a crystal structure of RbHo2Cu3SeS4 with its simulated PXRD pattern. Radiation: a wavelength of 1.5418 Å. Structure: a cell relaxed with GGA-PBE.

Structure:
```
RbHo2Cu3SeS4
1.0
1.9860 -6.9714 0.0000
1.9860 6.9714 0.0000
0.0000 0.0000 16.6670
Rb Ho Cu Se S
2 4 6 2 8
Direct
0.0604 0.9396 0.7500
0.9396 0.0604 0.2500
0.1900 0.8100 0.0901
0.1900 0.8100 0.4099
0.8100 0.1900 0.5901
0.8100 0.1900 0.9099
0.3525 0.6475 0.7500
0.4157 0.5843 0.0374
0.4157 0.5843 0.4626
0.5843 0.4157 0.5374
0.5843 0.4157 0.9626
0.6475 0.3525 0.2500
0.2450 0.7550 0.2500
0.7550 0.2450 0.7500
0.1680 0.8320 0.5697
0.1680 0.8320 0.9303
0.4392 0.5608 0.6131
0.4392 0.5608 0.8869
0.5608 0.4392 0.1131
0.5608 0.4392 0.3869
0.8320 0.1680 0.0697
0.8320 0.1680 0.4303
```

Most intense lines, 10° ≤ 2θ ≤ 80°, in order of rising 2θ:
12.70 deg, rel. 78
26.12 deg, rel. 58
28.35 deg, rel. 100
30.08 deg, rel. 80
31.51 deg, rel. 71
32.23 deg, rel. 91
36.76 deg, rel. 69
39.48 deg, rel. 63
45.68 deg, rel. 61
48.70 deg, rel. 67



This entry pairs a crystal structure of BaDy2Si3O10 with its simulated PXRD pattern. Radiation: a wavelength of 1.5418 Å. Structure: a cell relaxed with GGA-PBE.

Structure:
```
BaDy2Si3O10
1.0
5.3942 0.0000 0.0000
0.0000 12.1339 0.0000
-1.9518 0.0000 6.5820
Ba Dy Si O
2 4 6 20
Direct
0.2411 0.2500 0.4791
0.7589 0.7500 0.5209
0.1585 0.5987 0.1848
0.1585 0.9013 0.1848
0.8415 0.0987 0.8152
0.8415 0.4013 0.8152
0.3039 0.5615 0.7129
0.3039 0.9385 0.7129
0.4141 0.2500 0.0104
0.5859 0.7500 0.9896
0.6961 0.0615 0.2871
0.6961 0.4385 0.2871
0.0993 0.5527 0.8505
0.0993 0.9473 0.8505
0.1190 0.2500 0.8623
0.1649 0.6248 0.5027
0.1649 0.8752 0.5027
0.3720 0.7500 0.1143
0.4292 0.0567 0.6885
0.4292 0.4433 0.6885
0.4452 0.1412 0.1603
0.4452 0.3588 0.1603
0.5548 0.6412 0.8397
0.5548 0.8588 0.8397
0.5708 0.5567 0.3115
0.5708 0.9433 0.3115
0.6280 0.2500 0.8857
0.8351 0.1248 0.4973
0.8351 0.3752 0.4973
0.8810 0.7500 0.1377
0.9007 0.0527 0.1495
0.9007 0.4473 0.1495
```

Most intense lines, 10° ≤ 2θ ≤ 80°, in order of rising 2θ:
15.31 deg, rel. 29
18.57 deg, rel. 27
25.83 deg, rel. 55
28.02 deg, rel. 100
28.66 deg, rel. 42
30.91 deg, rel. 25
33.44 deg, rel. 19
40.42 deg, rel. 19
41.45 deg, rel. 16
54.79 deg, rel. 16



This entry pairs a crystal structure of CsPrSO with its simulated PXRD pattern. Radiation: a wavelength of 1.5418 Å. Structure: a cell relaxed with GGA-PBE.

Structure:
```
CsPrSO
1.0
5.9429 0.0000 0.0000
0.0000 5.9376 0.0000
-2.8004 0.0000 12.5795
Cs Pr S O
4 4 4 4
Direct
0.0507 0.0000 0.1159
0.4481 0.9982 0.8841
0.5519 0.4982 0.1159
0.9493 0.5000 0.8841
0.0446 0.2613 0.5913
0.4556 0.2615 0.4088
0.5444 0.7615 0.5912
0.9554 0.7613 0.4087
0.1084 0.4991 0.2382
0.3925 0.4976 0.7618
0.6075 0.9976 0.2382
0.8916 0.9991 0.7618
0.2499 0.0120 0.5000
0.2500 0.5135 0.5000
0.7500 0.0135 0.5000
0.7501 0.5120 0.5000
```

Most intense lines, 10° ≤ 2θ ≤ 80°, in order of rising 2θ:
23.60 deg, rel. 67
23.78 deg, rel. 62
27.53 deg, rel. 87
27.80 deg, rel. 100
30.83 deg, rel. 39
30.97 deg, rel. 99
32.64 deg, rel. 45
32.96 deg, rel. 34
43.08 deg, rel. 82
47.36 deg, rel. 33



This entry pairs a crystal structure of HfTaNO3 with its simulated PXRD pattern. Radiation: a wavelength of 1.5418 Å. Structure: a cell relaxed with GGA-PBE.

Structure:
```
HfTaNO3
1.0
5.0370 0.0000 0.0000
0.0000 5.0953 0.0000
-0.8413 0.0000 5.2007
Hf Ta N O
2 2 2 6
Direct
0.2177 0.0000 0.0366
0.7823 0.5000 0.9634
0.2119 0.4081 0.5373
0.7881 0.9081 0.4627
0.0534 0.6954 0.2879
0.9466 0.1954 0.7121
0.0545 0.7090 0.7707
0.4244 0.3061 0.8996
0.4401 0.1506 0.4007
0.5599 0.6506 0.5993
0.5756 0.8061 0.1004
0.9455 0.2090 0.2293
```

Most intense lines, 10° ≤ 2θ ≤ 80°, in order of rising 2θ:
25.02 deg, rel. 15
28.73 deg, rel. 100
32.06 deg, rel. 83
34.49 deg, rel. 29
35.23 deg, rel. 19
36.13 deg, rel. 22
39.38 deg, rel. 13
41.65 deg, rel. 20
50.13 deg, rel. 18
51.35 deg, rel. 19



This entry pairs a crystal structure of CoRe6Ir with its simulated PXRD pattern. Radiation: a wavelength of 1.5418 Å. Structure: a cell relaxed with GGA-PBE.

Structure:
```
CoRe6Ir
1.0
5.4889 0.0000 0.0000
-2.7445 4.7535 0.0000
0.0000 0.0000 4.3638
Co Re Ir
1 6 1
Direct
0.0000 0.0000 0.0000
0.3327 0.1663 0.5000
0.5050 0.0101 0.0000
0.5050 0.4950 0.0000
0.8337 0.1663 0.5000
0.8337 0.6673 0.5000
0.9899 0.4950 0.0000
0.3333 0.6667 0.5000
```

Most intense lines, 10° ≤ 2θ ≤ 80°, in order of rising 2θ:
18.67 deg, rel. 5
20.35 deg, rel. 1
27.75 deg, rel. 4
37.85 deg, rel. 25
38.76 deg, rel. 2
41.38 deg, rel. 25
43.35 deg, rel. 100
57.32 deg, rel. 15
68.36 deg, rel. 17
76.83 deg, rel. 19



This entry pairs a crystal structure of Co13Re2 with its simulated PXRD pattern. Radiation: a wavelength of 1.5418 Å. Structure: a cell relaxed with GGA-PBE.

Structure:
```
Co13Re2
1.0
8.6748 0.0000 0.0000
0.0000 8.6748 0.0000
0.0000 0.0000 4.5193
Co Re
26 4
Direct
0.0000 0.0000 0.0000
0.0372 0.3703 0.5000
0.0661 0.2651 0.0000
0.1297 0.5372 0.0000
0.1838 0.8162 0.2495
0.1838 0.8162 0.7505
0.2349 0.5661 0.5000
0.2651 0.0661 0.0000
0.3162 0.3162 0.2505
0.3162 0.3162 0.7495
0.3703 0.0372 0.5000
0.4339 0.7651 0.5000
0.4628 0.8703 0.0000
0.5000 0.5000 0.5000
0.5372 0.1297 0.0000
0.5661 0.2349 0.5000
0.6297 0.9628 0.5000
0.6838 0.6838 0.2505
0.6838 0.6838 0.7495
0.7349 0.9339 0.0000
0.7651 0.4339 0.5000
0.8162 0.1838 0.2495
0.8162 0.1838 0.7505
0.8703 0.4628 0.0000
0.9339 0.7349 0.0000
0.9628 0.6297 0.5000
0.1001 0.1001 0.5000
0.3999 0.6001 0.0000
0.6001 0.3999 0.0000
0.8999 0.8999 0.5000
```

Most intense lines, 10° ≤ 2θ ≤ 80°, in order of rising 2θ:
14.44 deg, rel. 35
22.18 deg, rel. 31
35.37 deg, rel. 23
38.39 deg, rel. 26
39.90 deg, rel. 29
42.99 deg, rel. 66
45.25 deg, rel. 29
46.51 deg, rel. 70
47.68 deg, rel. 100
48.89 deg, rel. 60